# 1
# KCa2HgRh
Simulated XRD peak list, Cu Kα (λ = 1.5418 Å). Input: a DFT-relaxed cell (PBE, Alexandria).
Intensities are scaled so that the largest is 100.

The 10 most intense peaks (10° ≤ 2θ ≤ 90°), sorted by position:
Position (°2θ)	intensity
16.25	100.0
23.06	44.0
28.21	38.6
32.37	25.9
32.84	49.7
36.42	28.6
36.85	27.7
40.12	21.4
46.78	36.2
49.85	23.9

Atomic structure:
```
data_KCa2HgRh
_chemical_formula_sum 'K1 Ca2 Hg1 Rh1'
_cell_length_a 5.454
_cell_length_b 5.454
_cell_length_c 5.531
_cell_angle_alpha 90.00
_cell_angle_beta 90.00
_cell_angle_gamma 90.00
_symmetry_space_group_name_H-M 'P 4/m m m'
_symmetry_Int_Tables_number 123
_symmetry_space_group_name_Hall '-P 4 2'
loop_
_atom_site_label
_atom_site_type_symbol
_atom_site_fract_x
_atom_site_fract_y
_atom_site_fract_z
K1 K 0.000 0.000 0.000
Ca1 Ca 0.000 0.500 0.500
Hg1 Hg 0.500 0.500 0.000
Rh1 Rh 0.500 0.500 0.500
```

=====

# 2
# KCaHgTe2
Simulated XRD peak list, Cu Kα (λ = 1.5418 Å). Input: a DFT-relaxed cell (PBE, Alexandria).
Intensities are scaled so that the largest is 100.

The 10 most intense peaks (10° ≤ 2θ ≤ 90°), sorted by position:
Position (°2θ)	intensity
11.79	55.1
19.22	48.5
20.90	100.0
22.58	53.7
27.45	61.0
28.24	89.5
29.60	92.3
33.59	68.0
35.92	45.9
42.55	41.9

Atomic structure:
```
data_KCaHgTe2
_chemical_formula_sum 'K2 Ca2 Hg2 Te4'
_cell_length_a 7.559
_cell_length_b 5.859
_cell_length_c 8.561
_cell_angle_alpha 90.00
_cell_angle_beta 96.90
_cell_angle_gamma 90.00
_symmetry_space_group_name_H-M 'P 1 2/c 1'
_symmetry_Int_Tables_number 13
loop_
_symmetry_equiv_pos_as_xyz
'x,y,z'
'-x,-y,-z'
'-x,y,-z+1/2'
'x,-y,z+1/2'
loop_
_atom_site_label
_atom_site_type_symbol
_atom_site_fract_x
_atom_site_fract_y
_atom_site_fract_z
K1 K 0.000 0.085 0.250
Ca1 Ca 0.500 0.485 0.750
Hg1 Hg 0.500 0.000 0.000
Te1 Te 0.211 0.365 0.976
```

=====

# 3
# CaLaHg
Simulated XRD peak list, Cu Kα (λ = 1.5418 Å). Input: a DFT-relaxed cell (PBE, Alexandria).
Intensities are scaled so that the largest is 100.

The 10 most intense peaks (10° ≤ 2θ ≤ 90°), sorted by position:
Position (°2θ)	intensity
18.47	41.1
25.16	37.3
31.40	66.6
32.29	100.0
41.36	62.1
45.65	23.4
57.02	24.0
57.58	19.1
62.23	30.2
63.81	17.7

Atomic structure:
```
data_CaLaHg
_chemical_formula_sum 'Ca4 La4 Hg4'
_cell_length_a 5.540
_cell_length_b 9.614
_cell_length_c 7.079
_cell_angle_alpha 90.00
_cell_angle_beta 90.00
_cell_angle_gamma 90.00
_symmetry_space_group_name_H-M 'C m c m'
_symmetry_Int_Tables_number 63
_symmetry_space_group_name_Hall '-C 2c 2'
loop_
_atom_site_label
_atom_site_type_symbol
_atom_site_fract_x
_atom_site_fract_y
_atom_site_fract_z
Ca1 Ca 0.000 0.000 0.000
La1 La 0.000 0.333 0.250
Hg1 Hg 0.000 0.334 0.750
```

=====

# 4
# CaLa2Hg3
Simulated XRD peak list, Cu Kα (λ = 1.5418 Å). Input: a DFT-relaxed cell (PBE, Alexandria).
Intensities are scaled so that the largest is 100.

The 10 most intense peaks (10° ≤ 2θ ≤ 90°), sorted by position:
Position (°2θ)	intensity
23.06	10.9
32.56	100.0
32.83	49.1
46.30	9.4
47.12	18.1
57.92	19.3
58.45	37.9
68.21	12.4
77.03	8.5
78.24	8.2

Atomic structure:
```
data_CaLa2Hg3
_chemical_formula_sum 'Ca1 La2 Hg3'
_cell_length_a 3.857
_cell_length_b 3.857
_cell_length_c 11.765
_cell_angle_alpha 90.00
_cell_angle_beta 90.00
_cell_angle_gamma 90.00
_symmetry_space_group_name_H-M 'P 4/m m m'
_symmetry_Int_Tables_number 123
_symmetry_space_group_name_Hall '-P 4 2'
loop_
_atom_site_label
_atom_site_type_symbol
_atom_site_fract_x
_atom_site_fract_y
_atom_site_fract_z
Ca1 Ca 0.000 0.000 0.000
La1 La 0.000 0.000 0.331
Hg1 Hg 0.500 0.500 0.162
Hg2 Hg 0.500 0.500 0.500
```

=====

# 5
# CaLa2Hg8
Simulated XRD peak list, Cu Kα (λ = 1.5418 Å). Input: a DFT-relaxed cell (PBE, Alexandria).
Intensities are scaled so that the largest is 100.

The 10 most intense peaks (10° ≤ 2θ ≤ 90°), sorted by position:
Position (°2θ)	intensity
26.66	11.7
31.54	24.0
33.84	37.6
34.27	18.8
34.40	100.0
35.81	15.1
50.09	11.8
60.89	23.2
67.58	11.5
70.09	11.6

Atomic structure:
```
data_CaLa2Hg8
_chemical_formula_sum 'Ca2 La4 Hg16'
_cell_length_a 5.297
_cell_length_b 7.467
_cell_length_c 15.046
_cell_angle_alpha 90.00
_cell_angle_beta 90.00
_cell_angle_gamma 90.00
_symmetry_space_group_name_H-M 'I m m m'
_symmetry_Int_Tables_number 71
_symmetry_space_group_name_Hall '-I 2 2'
loop_
_atom_site_label
_atom_site_type_symbol
_atom_site_fract_x
_atom_site_fract_y
_atom_site_fract_z
Ca1 Ca 0.000 0.000 0.000
La1 La 0.000 0.000 0.300
Hg1 Hg 0.000 0.210 0.500
Hg2 Hg 0.000 0.293 0.139
Hg3 Hg 0.000 0.500 0.343
```

=====

# 6
# Li3Ca3Hg2
Simulated XRD peak list, Cu Kα (λ = 1.5418 Å). Input: a DFT-relaxed cell (PBE, Alexandria).
Intensities are scaled so that the largest is 100.

The 10 most intense peaks (10° ≤ 2θ ≤ 90°), sorted by position:
Position (°2θ)	intensity
15.51	70.4
18.08	51.4
21.07	100.0
24.07	71.9
25.93	49.1
26.62	81.5
31.82	80.4
33.65	75.5
35.29	66.5
49.50	56.0

Atomic structure:
```
data_Li3Ca3Hg2
_chemical_formula_sum 'Li12 Ca12 Hg8'
_cell_length_a 8.336
_cell_length_b 16.864
_cell_length_c 6.071
_cell_angle_alpha 90.00
_cell_angle_beta 90.00
_cell_angle_gamma 90.00
_symmetry_space_group_name_H-M 'P n m a'
_symmetry_Int_Tables_number 62
loop_
_symmetry_equiv_pos_as_xyz
'x,y,z'
'-x,-y,-z'
'-x+1/2,-y,z+1/2'
'x+1/2,y,-z+1/2'
'x+1/2,-y+1/2,-z+1/2'
'-x+1/2,y+1/2,z+1/2'
'-x,y+1/2,-z'
'x,-y+1/2,z'
loop_
_atom_site_label
_atom_site_type_symbol
_atom_site_fract_x
_atom_site_fract_y
_atom_site_fract_z
Li1 Li 0.172 0.250 0.132
Li2 Li 0.173 0.534 0.096
Ca1 Ca 0.032 0.608 0.616
Ca2 Ca 0.167 0.750 0.142
Hg1 Hg 0.118 0.112 0.882
```

=====

# 7
# LiCaHg
Simulated XRD peak list, Cu Kα (λ = 1.5418 Å). Input: a DFT-relaxed cell (PBE, Alexandria).
Intensities are scaled so that the largest is 100.

The 10 most intense peaks (10° ≤ 2θ ≤ 90°), sorted by position:
Position (°2θ)	intensity
21.36	100.0
21.69	77.0
29.65	41.6
34.67	97.7
35.41	33.0
36.84	57.6
40.25	19.9
46.18	22.7
50.78	18.7
55.91	25.0

Atomic structure:
```
data_LiCaHg
_chemical_formula_sum 'Li2 Ca2 Hg2'
_cell_length_a 4.481
_cell_length_b 6.025
_cell_length_c 6.017
_cell_angle_alpha 90.00
_cell_angle_beta 111.74
_cell_angle_gamma 90.00
_symmetry_space_group_name_H-M 'P 1 21/m 1'
_symmetry_Int_Tables_number 11
loop_
_symmetry_equiv_pos_as_xyz
'x,y,z'
'-x,-y,-z'
'-x,y+1/2,-z'
'x,-y+1/2,z'
loop_
_atom_site_label
_atom_site_type_symbol
_atom_site_fract_x
_atom_site_fract_y
_atom_site_fract_z
Li1 Li 0.000 0.000 0.000
Ca1 Ca 0.299 0.250 0.598
Hg1 Hg 0.410 0.750 0.817
```

=====

# 8
# Li2CaHg6
Simulated XRD peak list, Cu Kα (λ = 1.5418 Å). Input: a DFT-relaxed cell (PBE, Alexandria).
Intensities are scaled so that the largest is 100.

The 10 most intense peaks (10° ≤ 2θ ≤ 90°), sorted by position:
Position (°2θ)	intensity
20.60	29.6
24.46	20.8
27.00	25.1
31.31	85.6
33.21	26.4
34.85	100.0
36.46	50.1
42.36	50.0
50.14	17.0
64.59	20.4

Atomic structure:
```
data_Li2CaHg6
_chemical_formula_sum 'Li8 Ca4 Hg24'
_cell_length_a 15.720
_cell_length_b 10.790
_cell_length_c 4.929
_cell_angle_alpha 90.00
_cell_angle_beta 90.00
_cell_angle_gamma 90.00
_symmetry_space_group_name_H-M 'C m c m'
_symmetry_Int_Tables_number 63
_symmetry_space_group_name_Hall '-C 2c 2'
loop_
_atom_site_label
_atom_site_type_symbol
_atom_site_fract_x
_atom_site_fract_y
_atom_site_fract_z
Li1 Li 0.218 0.088 0.250
Ca1 Ca 0.000 0.253 0.250
Hg1 Hg 0.095 0.402 0.750
Hg2 Hg 0.097 0.096 0.750
Hg3 Hg 0.206 0.338 0.250
```

=====

# 9
# Li15Ca6Hg8
Simulated XRD peak list, Cu Kα (λ = 1.5418 Å). Input: a DFT-relaxed cell (PBE, Alexandria).
Intensities are scaled so that the largest is 100.

The 10 most intense peaks (10° ≤ 2θ ≤ 90°), sorted by position:
Position (°2θ)	intensity
11.12	74.6
21.38	68.5
25.86	64.5
28.22	54.9
33.79	31.2
36.89	100.0
38.65	26.5
50.89	21.7
60.03	27.9
66.46	32.4

Atomic structure:
```
data_Li15Ca6Hg8
_chemical_formula_sum 'Li60 Ca24 Hg32'
_cell_length_a 13.783
_cell_length_b 13.783
_cell_length_c 13.783
_cell_angle_alpha 90.00
_cell_angle_beta 90.00
_cell_angle_gamma 90.00
_symmetry_space_group_name_H-M 'F m -3 m'
_symmetry_Int_Tables_number 225
_symmetry_space_group_name_Hall '-F 4 2 3'
loop_
_atom_site_label
_atom_site_type_symbol
_atom_site_fract_x
_atom_site_fract_y
_atom_site_fract_z
Li1 Li 0.000 0.000 0.000
Li2 Li 0.000 0.250 0.250
Li3 Li 0.175 0.175 0.325
Ca1 Ca 0.000 0.000 0.278
Hg1 Hg 0.128 0.128 0.128
```

=====

# 10
# Li14CaHg
Simulated XRD peak list, Cu Kα (λ = 1.5418 Å). Input: a DFT-relaxed cell (PBE, Alexandria).
Intensities are scaled so that the largest is 100.

The 10 most intense peaks (10° ≤ 2θ ≤ 90°), sorted by position:
Position (°2θ)	intensity
16.26	66.8
16.49	59.0
17.63	56.6
18.51	100.0
18.71	87.2
24.07	54.5
24.23	47.2
34.06	50.9
34.53	56.8
37.95	43.7

Atomic structure:
```
data_Li14CaHg
_chemical_formula_sum 'Li28 Ca2 Hg2'
_cell_length_a 10.063
_cell_length_b 6.181
_cell_length_c 10.904
_cell_angle_alpha 90.00
_cell_angle_beta 90.00
_cell_angle_gamma 90.00
_symmetry_space_group_name_H-M 'A m m 2'
_symmetry_Int_Tables_number 38
loop_
_symmetry_equiv_pos_as_xyz
'x,y,z'
'-x,-y,z'
'-x,y,z'
'x,-y,z'
'x,y+1/2,z+1/2'
'-x,-y+1/2,z+1/2'
'-x,y+1/2,z+1/2'
'x,-y+1/2,z+1/2'
loop_
_atom_site_label
_atom_site_type_symbol
_atom_site_fract_x
_atom_site_fract_y
_atom_site_fract_z
Li1 Li 0.000 0.000 0.000
Li2 Li 0.000 0.000 0.494
Li3 Li 0.000 0.243 0.246
Li4 Li 0.226 0.000 0.837
Li5 Li 0.244 0.238 0.080
Li6 Li 0.268 0.000 0.326
Li7 Li 0.500 0.246 0.930
Ca1 Ca 0.500 0.000 0.681
Hg1 Hg 0.500 0.000 0.165
```

=====

# 11
# Li16Ca2Hg
Simulated XRD peak list, Cu Kα (λ = 1.5418 Å). Input: a DFT-relaxed cell (PBE, Alexandria).
Intensities are scaled so that the largest is 100.

The 10 most intense peaks (10° ≤ 2θ ≤ 90°), sorted by position:
Position (°2θ)	intensity
11.91	96.5
16.01	64.2
17.70	100.0
25.72	39.9
26.85	32.0
29.94	28.2
30.91	33.6
35.84	26.9
37.11	30.1
41.78	27.3

Atomic structure:
```
data_Li16Ca2Hg
_chemical_formula_sum 'Li48 Ca6 Hg3'
_cell_length_a 10.0228
_cell_length_b 10.0228
_cell_length_c 14.3738
_cell_angle_alpha 90.00
_cell_angle_beta 90.00
_cell_angle_gamma 120.00
_symmetry_space_group_name_H-M 'R 3 m'
_symmetry_Int_Tables_number 160
_symmetry_space_group_name_Hall 'R 3 -2"'
loop_
_atom_site_label
_atom_site_type_symbol
_atom_site_fract_x
_atom_site_fract_y
_atom_site_fract_z
Li1 Li 0.0000 0.0000 0.0469
Li2 Li 0.0000 0.2817 0.1465
Li3 Li 0.0038 0.5019 0.0000
Li4 Li 0.1691 0.3383 0.6225
Li5 Li 0.1763 0.3526 0.9799
Ca1 Ca 0.0000 0.0000 0.4830
Ca2 Ca 0.0000 0.0000 0.8005
Hg1 Hg 0.0000 0.0000 0.2443
```

=====

# 12
# Li4CaHg8
Simulated XRD peak list, Cu Kα (λ = 1.5418 Å). Input: a DFT-relaxed cell (PBE, Alexandria).
Intensities are scaled so that the largest is 100.

The 10 most intense peaks (10° ≤ 2θ ≤ 90°), sorted by position:
Position (°2θ)	intensity
13.01	47.7
26.19	13.7
29.22	100.0
33.02	59.8
35.62	35.0
37.95	11.1
39.73	13.8
41.89	26.4
49.28	26.7
65.07	13.8

Atomic structure:
```
data_Li4CaHg8
_chemical_formula_sum 'Li12 Ca3 Hg24'
_cell_length_a 7.3970
_cell_length_b 7.3970
_cell_length_c 20.4183
_cell_angle_alpha 90.00
_cell_angle_beta 90.00
_cell_angle_gamma 120.00
_symmetry_space_group_name_H-M 'R -3 m'
_symmetry_Int_Tables_number 166
_symmetry_space_group_name_Hall '-R 3 2"'
loop_
_atom_site_label
_atom_site_type_symbol
_atom_site_fract_x
_atom_site_fract_y
_atom_site_fract_z
Li1 Li 0.0000 0.0000 0.0000
Li2 Li 0.0000 0.5000 0.5000
Ca1 Ca 0.0000 0.0000 0.5000
Hg1 Hg 0.0000 0.0000 0.2545
Hg2 Hg 0.0403 0.5201 0.2817
```